Diffraction record for Li2UMnF8. The powder diffraction line list is simulated, not measured: it uses a DFT-relaxed cell (GGA+U, Alexandria) and λ = 1.5418 Å (Cu Kα).
Kinematic intensities with the Lorentz-polarization factor, no thermal factor.

The 10 most intense peaks (2θ from 10° to 90°), sorted by position:
d (Å)	I/Imax
6.785	32
4.230	100
3.590	35
3.393	13
2.647	52
2.442	25
2.298	32
1.982	43
1.795	21
1.446	20

Structural model:
abc: 4.8847 4.8847 6.7854
angles: 90.00 90.00 120.00
Space group P-3 (No. 147)
Asymmetric unit:
Li  0.3333  0.6667  0.2859 (multiplicity 2)
U  0.0000  0.0000  0.0000 (multiplicity 1)
Mn  0.0000  0.0000  0.5000 (multiplicity 1)
F  0.0239  0.7180  0.6902 (multiplicity 6)
F  0.3333  0.6667  0.0159 (multiplicity 2)